[1]
Starting from a DFT-relaxed cell (PBE, Alexandria), the powder diffraction line list of Pa2TiGeN6 was computed for a wavelength of 1.5418 Å.

Structural model:
Unit cell a=5.2369 b=5.2369 c=4.8141 alpha=90.00 beta=90.00 gamma=90.00
Element x y z (fractional)
Pa 0.0000 0.5000 0.0000
Pa 0.5000 0.0000 0.0000
Ti 0.0000 0.0000 0.5817
Ge 0.5000 0.5000 0.5818
N 0.0000 0.0000 0.1943
N 0.2524 0.2524 0.7340
N 0.2524 0.7476 0.7340
N 0.5000 0.5000 0.2006
N 0.7476 0.2524 0.7340
N 0.7476 0.7476 0.7340

The 8 most intense peaks (2θ from 10° to 80°), most intense first:
2theta	I/Imax
30.5	1000
34.2	364
18.4	350
59.0	317
24.0	256
51.6	236
39.2	219
44.9	210

=====

[2]
Starting from a DFT-relaxed cell (PBE, Alexandria), the powder diffraction line list of Ge2Pb5N6 was computed for a wavelength of 1.5418 Å.

Structural model:
Unit cell a=5.9471 b=5.9471 c=14.8569 alpha=94.91 beta=94.91 gamma=74.85
Element x y z (fractional)
Ge 0.0495 0.4201 0.4109
Ge 0.4201 0.0495 0.9109
Ge 0.5799 0.9505 0.0891
Ge 0.9505 0.5799 0.5891
Pb 0.0808 0.1927 0.1876
Pb 0.1927 0.0808 0.6876
Pb 0.2087 0.6557 0.0283
Pb 0.3443 0.7913 0.4717
Pb 0.4528 0.5472 0.2500
Pb 0.5472 0.4528 0.7500
Pb 0.6557 0.2087 0.5283
Pb 0.7913 0.3443 0.9717
Pb 0.8073 0.9192 0.3124
Pb 0.9192 0.8073 0.8124
N 0.0636 0.1497 0.3418
N 0.1497 0.0636 0.8418
N 0.1507 0.6337 0.3458
N 0.2325 0.4495 0.5248
N 0.3663 0.8493 0.1542
N 0.4495 0.2325 0.0248
N 0.5505 0.7675 0.9752
N 0.6337 0.1507 0.8458
N 0.7675 0.5505 0.4752
N 0.8493 0.3663 0.6542
N 0.8503 0.9364 0.1582
N 0.9364 0.8503 0.6582

The 8 most intense peaks (2θ from 10° to 80°), most intense first:
2theta	I/Imax
27.5	1000
31.1	931
32.4	755
27.9	489
33.2	448
32.3	411
50.5	401
25.4	396

=====

[3]
Starting from a DFT-relaxed cell (PBE, Alexandria), the powder diffraction line list of GePbN2 was computed for a wavelength of 1.5418 Å.

Structural model:
Unit cell a=6.1178 b=6.1178 c=9.0403 alpha=90.00 beta=90.00 gamma=122.78
Element x y z (fractional)
Ge 0.0342 0.9658 0.8569
Ge 0.4658 0.5342 0.3569
Ge 0.5342 0.4658 0.6431
Ge 0.9658 0.0342 0.1431
Pb 0.1640 0.8360 0.5390
Pb 0.3360 0.6640 0.0390
Pb 0.6640 0.3360 0.9610
Pb 0.8360 0.1640 0.4610
N 0.1194 0.8806 0.0434
N 0.1545 0.3455 0.2500
N 0.3455 0.1545 0.7500
N 0.3806 0.6194 0.5434
N 0.6194 0.3806 0.4566
N 0.6545 0.8455 0.2500
N 0.8455 0.6545 0.7500
N 0.8806 0.1194 0.9566

The 8 most intense peaks (2θ from 10° to 80°), most intense first:
2theta	I/Imax
30.9	1000
30.5	393
19.6	371
34.5	277
36.6	222
54.5	212
43.7	196
19.2	192

=====

[4]
Starting from a DFT-relaxed cell (PBE, Alexandria), the powder diffraction line list of Pm6GeN3 was computed for a wavelength of 1.5418 Å.

Structural model:
Unit cell a=7.9871 b=7.9871 c=3.8539 alpha=90.00 beta=90.00 gamma=109.40
Element x y z (fractional)
Pm 0.1758 0.8242 0.0000
Pm 0.1880 0.4482 0.5000
Pm 0.4482 0.1880 0.5000
Pm 0.5518 0.8120 0.5000
Pm 0.8120 0.5518 0.5000
Pm 0.8242 0.1758 0.0000
Ge 0.0000 0.0000 0.5000
N 0.0000 0.5000 0.0000
N 0.5000 0.0000 0.0000
N 0.5000 0.5000 0.5000

The 8 most intense peaks (2θ from 10° to 80°), most intense first:
2theta	I/Imax
32.5	1000
35.8	817
29.8	723
30.2	656
41.2	606
27.4	405
60.6	354
26.0	349

=====

[5]
Starting from a DFT-relaxed cell (PBE, Alexandria), the powder diffraction line list of Pm2PuGeN5 was computed for a wavelength of 1.5418 Å.

Structural model:
Unit cell a=7.3376 b=7.3376 c=10.3822 alpha=90.00 beta=90.00 gamma=153.19
Element x y z (fractional)
Pm 0.1078 0.8922 0.5000
Pm 0.1311 0.8689 0.1343
Pm 0.8689 0.1311 0.6343
Pm 0.8922 0.1078 0.0000
Pu 0.2064 0.7936 0.8401
Pu 0.7936 0.2064 0.3401
Ge 0.4562 0.5438 0.2598
Ge 0.5438 0.4562 0.7598
N 0.0425 0.9575 0.8545
N 0.2865 0.7135 0.4771
N 0.3221 0.6779 0.1986
N 0.3530 0.6470 0.8243
N 0.4913 0.5087 0.5993
N 0.5087 0.4913 0.0993
N 0.6470 0.3530 0.3243
N 0.6779 0.3221 0.6986
N 0.7135 0.2865 0.9771
N 0.9575 0.0425 0.3545

The 8 most intense peaks (2θ from 10° to 80°), most intense first:
2theta	I/Imax
37.6	1000
28.7	803
33.5	563
32.3	545
38.8	467
45.0	460
30.4	396
21.2	331